[1]
For PtRh3, a structure optimized by DFT (PBE) gives the simulated powder diffraction line list in this record (Cu Kα (λ = 1.5418 Å)).
No peak broadening, texture or thermal motion is included.

```
data_PtRh3
_space_group_name_H-M_alt 'P m -3 m'
_space_group_IT_number 221
_space_group_name_Hall '-P 4 2 3'
_cell_length_a 3.8732
_cell_length_b 3.8732
_cell_length_c 3.8732
_cell_angle_alpha 90.00
_cell_angle_beta 90.00
_cell_angle_gamma 90.00
loop_
_atom_site_label
_atom_site_type_symbol
_atom_site_fract_x
_atom_site_fract_y
_atom_site_fract_z
Pt1 Pt 0.0000 0.0000 0.0000
Rh1 Rh 0.0000 0.5000 0.5000
```

Most intense lines, 2θ from 10° to 90°, by angle:
2θ/deg  I (rel.)  h k l
22.96  9  1 0 0
32.70  7  1 1 0
40.33  100  1 1 1
46.92  49  2 0 0
52.86  4  2 1 0
58.36  3  2 1 1
68.52  31  2 2 0
73.33  2  3 0 0
82.62  37  3 1 1
87.18  11  2 2 2

[2]
For VRuN, a structure optimized by DFT (PBE) gives the simulated powder diffraction line list in this record (Cu Kα (λ = 1.5418 Å)).
No peak broadening, texture or thermal motion is included.

```
data_VRuN
_space_group_name_H-M_alt 'A e m 2'
_space_group_IT_number 39
_cell_length_a 4.6205
_cell_length_b 5.6482
_cell_length_c 5.8768
_cell_angle_alpha 90.00
_cell_angle_beta 90.00
_cell_angle_gamma 90.00
loop_
_space_group_symop_operation_xyz
'x,y,z'
'-x,-y,z'
'-x,y+1/2,z'
'x,-y+1/2,z'
'x,y+1/2,z+1/2'
'-x,-y+1/2,z+1/2'
'-x,y,z+1/2'
'x,-y,z+1/2'
loop_
_atom_site_label
_atom_site_type_symbol
_atom_site_fract_x
_atom_site_fract_y
_atom_site_fract_z
V1 V 0.1575 0.2500 0.0000
Ru1 Ru 0.5000 0.0000 0.2064
N1 N 0.1737 0.2500 0.6840
```

Most intense lines, 2θ from 10° to 90°, by angle:
2θ/deg  I (rel.)  h k l
19.21  68  1 0 0
29.23  32  1 1 1
30.42  30  0 0 2
36.23  86  1 0 2
37.32  100  1 2 0
44.50  60  0 2 2
48.88  37  1 2 2
50.24  29  2 0 2
51.08  36  2 2 0
77.79  40  3 2 2

[3]
For Tm6GaOs, a structure optimized by DFT (PBE) gives the simulated powder diffraction line list in this record (Cu Kα (λ = 1.5418 Å)).
No peak broadening, texture or thermal motion is included.

```
data_Tm6GaOs
_space_group_name_H-M_alt 'I 4/m m m'
_space_group_IT_number 139
_space_group_name_Hall '-I 4 2'
_cell_length_a 4.8288
_cell_length_b 4.8288
_cell_length_c 17.6433
_cell_angle_alpha 90.00
_cell_angle_beta 90.00
_cell_angle_gamma 90.00
loop_
_atom_site_label
_atom_site_type_symbol
_atom_site_fract_x
_atom_site_fract_y
_atom_site_fract_z
Tm1 Tm 0.0000 0.0000 0.2490
Tm2 Tm 0.0000 0.5000 0.0966
Ga1 Ga 0.0000 0.0000 0.0000
Os1 Os 0.0000 0.0000 0.5000
```

Most intense lines, 2θ from 10° to 90°, by angle:
2θ/deg  I (rel.)  h k l
28.02  12  1 1 2
30.40  11  0 0 6
33.18  100  1 1 4
37.24  48  2 0 0
40.48  13  1 1 6
48.80  12  2 0 6
53.69  17  2 2 0
56.52  9  2 0 8
64.59  30  3 1 4
75.75  11  2 0 12

[4]
For BaF2, a structure optimized by DFT (PBE) gives the simulated powder diffraction line list in this record (Cu Kα (λ = 1.5418 Å)).
No peak broadening, texture or thermal motion is included.

```
data_BaF2
_space_group_name_H-M_alt 'F m -3 m'
_space_group_IT_number 225
_space_group_name_Hall '-F 4 2 3'
_cell_length_a 6.2777
_cell_length_b 6.2777
_cell_length_c 6.2777
_cell_angle_alpha 90.00
_cell_angle_beta 90.00
_cell_angle_gamma 90.00
loop_
_atom_site_label
_atom_site_type_symbol
_atom_site_fract_x
_atom_site_fract_y
_atom_site_fract_z
Ba1 Ba 0.0000 0.0000 0.0000
F1 F 0.2500 0.2500 0.2500
```

Most intense lines, 2θ from 10° to 90°, by angle:
2θ/deg  I (rel.)  h k l
24.56  100  1 1 1
28.44  25  2 0 0
40.65  65  2 2 0
48.07  48  3 1 1
50.35  7  2 2 2
58.84  10  4 0 0
64.73  20  3 3 1
66.62  11  4 2 0
73.97  20  4 2 2
79.30  15  5 1 1

[5]
For TaNi6W, a structure optimized by DFT (PBE) gives the simulated powder diffraction line list in this record (Cu Kα (λ = 1.5418 Å)).
No peak broadening, texture or thermal motion is included.

```
data_TaNi6W
_space_group_name_H-M_alt 'P m m 2'
_space_group_IT_number 25
_cell_length_a 4.2556
_cell_length_b 5.0726
_cell_length_c 4.5077
_cell_angle_alpha 90.00
_cell_angle_beta 90.00
_cell_angle_gamma 90.00
loop_
_space_group_symop_operation_xyz
'x,y,z'
'-x,-y,z'
'-x,y,z'
'x,-y,z'
loop_
_atom_site_label
_atom_site_type_symbol
_atom_site_fract_x
_atom_site_fract_y
_atom_site_fract_z
Ta1 Ta 0.0000 0.0000 0.0000
Ni1 Ni 0.0000 0.2553 0.4928
Ni2 Ni 0.0000 0.5000 0.9881
Ni3 Ni 0.5000 0.0000 0.3297
Ni4 Ni 0.5000 0.2531 0.8103
W1 W 0.5000 0.5000 0.3043
```

Most intense lines, 2θ from 10° to 90°, by angle:
2θ/deg  I (rel.)  h k l
26.45  18  0 1 1
27.36  27  1 1 0
40.82  31  0 2 1
42.48  46  2 0 0
45.54  63  1 0 2
46.28  100  1 2 1
60.38  19  2 2 1
73.22  17  0 2 3
80.45  19  3 2 1
88.50  22  2 2 3

[6]
For PmPr4Y8, a structure optimized by DFT (PBE) gives the simulated powder diffraction line list in this record (Cu Kα (λ = 1.5418 Å)).
No peak broadening, texture or thermal motion is included.

```
data_PmPr4Y8
_space_group_name_H-M_alt 'R -3 m'
_space_group_IT_number 166
_space_group_name_Hall '-R 3 2"'
_cell_length_a 11.1669
_cell_length_b 11.1669
_cell_length_c 13.6547
_cell_angle_alpha 90.00
_cell_angle_beta 90.00
_cell_angle_gamma 120.00
loop_
_atom_site_label
_atom_site_type_symbol
_atom_site_fract_x
_atom_site_fract_y
_atom_site_fract_z
Pm1 Pm 0.0000 0.0000 0.0000
Pr1 Pr 0.0000 0.0000 0.5000
Pr2 Pr 0.0000 0.5000 0.5000
Y1 Y 0.0000 0.0000 0.2602
Y2 Y 0.0135 0.5067 0.2463
```

Most intense lines, 2θ from 10° to 90°, by angle:
2θ/deg  I (rel.)  h k l
15.88  6  1 1 0
19.48  20  0 0 3
25.23  7  1 1 3
32.08  100  2 2 0
37.81  11  2 2 3
46.00  18  4 0 4
50.40  5  0 2 7
57.18  36  6 0 0
67.09  11  4 4 0
76.31  15  6 2 4

Please write out number 6 again, unchanged.
For PmPr4Y8, a structure optimized by DFT (PBE) gives the simulated powder diffraction line list in this record (Cu Kα (λ = 1.5418 Å)).
No peak broadening, texture or thermal motion is included.

```
data_PmPr4Y8
_space_group_name_H-M_alt 'R -3 m'
_space_group_IT_number 166
_space_group_name_Hall '-R 3 2"'
_cell_length_a 11.1669
_cell_length_b 11.1669
_cell_length_c 13.6547
_cell_angle_alpha 90.00
_cell_angle_beta 90.00
_cell_angle_gamma 120.00
loop_
_atom_site_label
_atom_site_type_symbol
_atom_site_fract_x
_atom_site_fract_y
_atom_site_fract_z
Pm1 Pm 0.0000 0.0000 0.0000
Pr1 Pr 0.0000 0.0000 0.5000
Pr2 Pr 0.0000 0.5000 0.5000
Y1 Y 0.0000 0.0000 0.2602
Y2 Y 0.0135 0.5067 0.2463
```

Most intense lines, 2θ from 10° to 90°, by angle:
2θ/deg  I (rel.)  h k l
15.88  6  1 1 0
19.48  20  0 0 3
25.23  7  1 1 3
32.08  100  2 2 0
37.81  11  2 2 3
46.00  18  4 0 4
50.40  5  0 2 7
57.18  36  6 0 0
67.09  11  4 4 0
76.31  15  6 2 4